Starting from a crystal structure in the Materials Project, relaxed with GGA-PBE, the powder X-ray diffraction pattern of DyB2C was calculated for Cu Kα (λ = 1.5418 Å).
Neutral-atom scattering factors, no anomalous dispersion.

Atomic structure:
Cell: 6.794 6.794 7.479 Å, 90.00 90.00 90.00°
Space group P4_2/mbc (No. 135)
Unique sites:
Dy 0.190 0.310 0.250 x8
B 0.035 0.848 0.000 x8
B 0.095 0.597 0.000 x8
C 0.040 0.823 0.500 x8

Largest 6 diffraction maxima, by angle, 10° ≤ 2θ ≤ 90°:
- (0 0 2), 23.79°, rel. 61
- (2 0 0), 26.23°, rel. 70
- (2 1 0), 29.39°, rel. 78
- (2 0 2), 35.71°, rel. 80
- (2 1 2), 38.16°, rel. 100
- (4 1 2), 61.49°, rel. 42

***

Starting from a crystal structure in the Materials Project, relaxed with GGA-PBE, the powder X-ray diffraction pattern of DyB2Rh2C was calculated for Cu Kα (λ = 1.5418 Å).
Neutral-atom scattering factors, no anomalous dispersion.

Atomic structure:
Cell: 3.813 3.813 10.263 Å, 90.00 90.00 90.00°
Space group I4/mmm (No. 139)
Unique sites:
Dy 0.000 0.000 0.000 x2
B 0.000 0.000 0.354 x4
Rh 0.000 0.500 0.250 x4
C 0.000 0.000 0.500 x2

Largest 6 diffraction maxima, by angle, 10° ≤ 2θ ≤ 90°:
- (1 0 1), 24.91°, rel. 38
- (0 0 4), 34.97°, rel. 29
- (1 0 3), 35.25°, rel. 23
- (1 1 2), 37.69°, rel. 100
- (2 0 0), 47.71°, rel. 28
- (2 0 4), 60.50°, rel. 24

***

Question: What is the formula in the first record?
Answer: DyB2C